No. 1
This entry pairs a crystal structure of Ca2LaAgPt with its computed powder XRD pattern. Radiation: Cu Kα, 1.54184 Å. Structure: a cell relaxed with PBE.
No peak broadening, texture or thermal motion is included.

Atomic structure:
```
Ca2LaAgPt
1.0
5.588 0.000 0.000
0.000 5.588 0.000
0.000 0.000 5.516
Ca La Ag Pt
2 1 1 1
Cartesian
0.000 2.794 0.000 Ca
2.794 0.000 0.000 Ca
0.000 0.000 2.810 La
2.794 2.794 3.008 Ag
0.000 0.000 0.061 Pt
```

Largest 6 diffraction maxima, sorted by position, 5 to 70 degrees two-theta:
- 15.86°, I 82
- 22.50°, I 100
- 22.65°, I 43
- 32.03°, I 91
- 39.86°, I 45
- 46.25°, I 62


No. 2
This entry pairs a crystal structure of KCuPdSe2 with its computed powder XRD pattern. Radiation: Cu Kα, 1.54184 Å. Structure: a cell relaxed with PBE.
No peak broadening, texture or thermal motion is included.

Atomic structure:
```
KCuPdSe2
1.0
3.973 0.000 0.000
0.000 3.979 0.000
-0.011 0.000 7.152
K Cu Pd Se
1 1 1 2
Cartesian
0.000 0.000 0.000 K
1.981 0.000 3.576 Cu
-0.006 1.989 3.576 Pd
1.981 1.989 1.968 Se
1.980 1.989 5.183 Se
```

Largest 6 diffraction maxima, sorted by position, 5 to 70 degrees two-theta:
- 12.38°, I 100
- 33.72°, I 54
- 34.27°, I 50
- 40.83°, I 69
- 45.64°, I 42
- 50.18°, I 37


No. 3
This entry pairs a crystal structure of RbPmCu2Cl8 with its computed powder XRD pattern. Radiation: Cu Kα, 1.54184 Å. Structure: a cell relaxed with PBE.
No peak broadening, texture or thermal motion is included.

Atomic structure:
```
RbPmCu2Cl8
1.0
-3.283 3.283 7.425
3.283 -3.283 7.425
3.283 3.283 -7.425
Rb Pm Cu Cl
1 1 2 8
Cartesian
0.000 0.000 0.000 Rb
0.000 3.283 3.713 Pm
3.283 0.000 3.713 Cu
0.000 0.000 7.425 Cu
5.096 -1.062 2.848 Cl
2.221 -1.813 4.577 Cl
2.536 1.540 -1.283 Cl
1.470 1.062 2.848 Cl
1.743 -0.747 8.708 Cl
4.345 1.813 4.577 Cl
0.747 1.743 6.143 Cl
1.540 4.030 1.283 Cl
```

Largest 6 diffraction maxima, sorted by position, 5 to 70 degrees two-theta:
- 22.59°, I 100
- 31.05°, I 20
- 36.54°, I 35
- 41.34°, I 26
- 45.35°, I 45
- 46.12°, I 17